# 1
Mg3N: simulated X-ray powder pattern (CuKα), based on a structure optimized by DFT (GGA-PBE).
Lines closer than 0.1° are merged.

Structural model:
```
data_Mg3N
_chemical_formula_sum 'Mg6 N2'
_space_group_name_H-M_alt 'P 63/m m c'
_space_group_IT_number 194
_space_group_name_Hall '-P 6c 2c'
_cell_length_a 5.6222
_cell_length_b 5.6222
_cell_length_c 4.7315
_cell_angle_alpha 90.00
_cell_angle_beta 90.00
_cell_angle_gamma 120.00
loop_
_atom_site_label
_atom_site_type_symbol
_atom_site_fract_x
_atom_site_fract_y
_atom_site_fract_z
_atom_site_occupancy
Mg1 Mg 0.1712 0.3425 0.2500 1
N1 N 0.3333 0.6667 0.7500 1
```

Main lines, in order of rising 2θ (2θ from 10° to 90°):
hkl	Position (°2θ)	d (Å)	Rel. int.
1 0 1	26.26	3.393	7
2 0 0	36.92	2.434	24
0 0 2	38.04	2.366	30
2 0 1	41.72	2.165	100
2 0 2	54.05	1.697	15
2 2 0	66.53	1.406	15
2 0 3	71.24	1.324	18
2 2 2	79.28	1.208	17
0 0 4	81.34	1.183	3
4 0 1	81.68	1.179	11

# 2
Mg3N2: simulated X-ray powder pattern (CuKα), based on a structure optimized by DFT (GGA-PBE).
Lines closer than 0.1° are merged.

Structural model:
```
data_Mg3N2
_chemical_formula_sum 'Mg48 N32'
_space_group_name_H-M_alt 'I a -3'
_space_group_IT_number 206
_space_group_name_Hall '-I 2b 2c 3'
_cell_length_a 10.0245
_cell_length_b 10.0245
_cell_length_c 10.0245
_cell_angle_alpha 90.00
_cell_angle_beta 90.00
_cell_angle_gamma 90.00
loop_
_atom_site_label
_atom_site_type_symbol
_atom_site_fract_x
_atom_site_fract_y
_atom_site_fract_z
_atom_site_occupancy
Mg1 Mg 0.0974 0.1392 0.6323 1
N1 N 0.0000 0.0000 0.0000 1
N2 N 0.0000 0.2500 0.2810 1
```

Main lines, in order of rising 2θ (2θ from 10° to 90°):
hkl	Position (°2θ)	d (Å)	Rel. int.
2 1 1	21.72	4.092	22
2 2 2	30.90	2.894	33
3 1 2	33.45	2.679	58
4 0 0	35.83	2.506	44
3 3 2	42.29	2.137	54
4 4 0	51.57	1.772	100
6 3 1	62.88	1.478	9
7 1 2	68.82	1.364	32
7 3 2	74.54	1.273	21
8 0 0	75.94	1.253	9

# 3
NaMgN: simulated X-ray powder pattern (CuKα), based on a structure optimized by DFT (GGA-PBE).
Lines closer than 0.1° are merged.

Structural model:
```
data_NaMgN
_chemical_formula_sum 'Na4 Mg4 N4'
_space_group_name_H-M_alt 'P n m a'
_space_group_IT_number 62
_cell_length_a 6.6380
_cell_length_b 3.7451
_cell_length_c 6.2071
_cell_angle_alpha 90.00
_cell_angle_beta 90.00
_cell_angle_gamma 90.00
loop_
_space_group_symop_operation_xyz
'x,y,z'
'-x,-y,-z'
'-x+1/2,-y,z+1/2'
'x+1/2,y,-z+1/2'
'x+1/2,-y+1/2,-z+1/2'
'-x+1/2,y+1/2,z+1/2'
'-x,y+1/2,-z'
'x,-y+1/2,z'
loop_
_atom_site_label
_atom_site_type_symbol
_atom_site_fract_x
_atom_site_fract_y
_atom_site_fract_z
_atom_site_occupancy
Na1 Na 0.0432 0.2500 0.1549 1
Mg1 Mg 0.1449 0.2500 0.5837 1
N1 N 0.1857 0.7500 0.3888 1
```

Main lines, in order of rising 2θ (2θ from 10° to 90°):
hkl	Position (°2θ)	d (Å)	Rel. int.
2 1 0	36.16	2.484	32
2 1 1	39.06	2.306	45
1 1 2	40.10	2.248	100
3 0 1	43.42	2.084	36
1 0 3	45.94	1.975	8
0 2 0	48.62	1.873	32
0 1 3	50.39	1.811	14
3 0 2	50.67	1.802	13
3 2 1	67.21	1.393	16
3 1 4	79.70	1.203	9

# 4
NaMgN: simulated X-ray powder pattern (CuKα), based on a structure optimized by DFT (GGA-PBE).
Lines closer than 0.1° are merged.

Structural model:
```
data_NaMgN
_chemical_formula_sum 'Na2 Mg2 N2'
_space_group_name_H-M_alt 'P 63 m c'
_space_group_IT_number 186
_space_group_name_Hall 'P 6c -2c'
_cell_length_a 3.5509
_cell_length_b 3.5509
_cell_length_c 8.8804
_cell_angle_alpha 90.00
_cell_angle_beta 90.00
_cell_angle_gamma 120.00
loop_
_atom_site_label
_atom_site_type_symbol
_atom_site_fract_x
_atom_site_fract_y
_atom_site_fract_z
_atom_site_occupancy
Na1 Na 0.3333 0.6667 0.0000 1
Mg1 Mg 0.0000 0.0000 0.2743 1
N1 N 0.3333 0.6667 0.3043 1
```

Main lines, in order of rising 2θ (2θ from 10° to 90°):
hkl	Position (°2θ)	d (Å)	Rel. int.
0 0 2	20.00	4.440	34
1 0 1	30.77	2.906	63
1 0 2	35.51	2.528	100
0 0 4	40.64	2.220	34
1 0 3	42.38	2.133	57
1 1 0	51.47	1.775	62
2 0 2	64.09	1.453	17
1 1 4	67.56	1.387	38
1 0 6	70.63	1.334	13
2 1 2	86.57	1.124	14

# 5
NaMgN: simulated X-ray powder pattern (CuKα), based on a structure optimized by DFT (GGA-PBE).
Lines closer than 0.1° are merged.

Structural model:
```
data_NaMgN
_chemical_formula_sum 'Na1 Mg1 N1'
_space_group_name_H-M_alt 'P -6 m 2'
_space_group_IT_number 187
_space_group_name_Hall 'P -6 2'
_cell_length_a 4.3796
_cell_length_b 4.3796
_cell_length_c 3.8809
_cell_angle_alpha 90.00
_cell_angle_beta 90.00
_cell_angle_gamma 120.00
loop_
_atom_site_label
_atom_site_type_symbol
_atom_site_fract_x
_atom_site_fract_y
_atom_site_fract_z
_atom_site_occupancy
Na1 Na 0.0000 0.0000 0.0000 1
Mg1 Mg 0.6667 0.3333 0.5000 1
N1 N 0.6667 0.3333 0.0000 1
```

Main lines, in order of rising 2θ (2θ from 10° to 90°):
hkl	Position (°2θ)	d (Å)	Rel. int.
1 0 0	23.45	3.793	100
1 0 1	33.02	2.713	66
1 1 0	41.23	2.190	67
0 0 2	46.82	1.940	15
2 0 0	47.97	1.896	12
1 0 2	53.01	1.728	17
2 0 1	53.80	1.704	17
1 1 2	64.12	1.452	31
2 1 1	69.96	1.345	15
3 0 0	75.15	1.264	9

# 6
Mg2NbN3: simulated X-ray powder pattern (CuKα), based on a structure optimized by DFT (GGA-PBE).
Lines closer than 0.1° are merged.

Structural model:
```
data_Mg2NbN3
_chemical_formula_sum 'Mg8 Nb4 N12'
_space_group_name_H-M_alt 'C m c 21'
_space_group_IT_number 36
_cell_length_a 10.1983
_cell_length_b 6.0066
_cell_length_c 5.3046
_cell_angle_alpha 90.00
_cell_angle_beta 90.00
_cell_angle_gamma 90.00
loop_
_space_group_symop_operation_xyz
'x,y,z'
'-x,-y,z+1/2'
'-x,y,z'
'x,-y,z+1/2'
'x+1/2,y+1/2,z'
'-x+1/2,-y+1/2,z+1/2'
'-x+1/2,y+1/2,z'
'x+1/2,-y+1/2,z+1/2'
loop_
_atom_site_label
_atom_site_type_symbol
_atom_site_fract_x
_atom_site_fract_y
_atom_site_fract_z
_atom_site_occupancy
Mg1 Mg 0.1691 0.1616 0.0000 1
Nb1 Nb 0.0000 0.3320 0.4989 1
N1 N 0.0000 0.3468 0.8784 1
N2 N 0.1563 0.1752 0.3996 1
```

Main lines, in order of rising 2θ (2θ from 10° to 90°):
hkl	Position (°2θ)	d (Å)	Rel. int.
1 1 0	17.13	5.176	32
2 0 0	17.39	5.099	66
1 1 1	24.02	3.704	100
3 1 0	30.21	2.958	59
0 0 2	33.79	2.652	63
0 2 1	34.31	2.613	50
3 1 1	34.72	2.584	99
3 3 0	53.08	1.725	42
3 1 3	61.05	1.518	33
3 3 2	64.44	1.446	42

# 7
Mg2NbN3: simulated X-ray powder pattern (CuKα), based on a structure optimized by DFT (GGA-PBE).
Lines closer than 0.1° are merged.

Structural model:
```
data_Mg2NbN3
_chemical_formula_sum 'Mg8 Nb4 N12'
_space_group_name_H-M_alt 'C 1 2/c 1'
_space_group_IT_number 15
_cell_length_a 9.5721
_cell_length_b 6.2073
_cell_length_c 5.7503
_cell_angle_alpha 90.00
_cell_angle_beta 117.83
_cell_angle_gamma 90.00
loop_
_space_group_symop_operation_xyz
'x,y,z'
'-x,-y,-z'
'-x,y,-z+1/2'
'x,-y,z+1/2'
'x+1/2,y+1/2,z'
'-x+1/2,-y+1/2,-z'
'-x+1/2,y+1/2,-z+1/2'
'x+1/2,-y+1/2,z+1/2'
loop_
_atom_site_label
_atom_site_type_symbol
_atom_site_fract_x
_atom_site_fract_y
_atom_site_fract_z
_atom_site_occupancy
Mg1 Mg 0.1649 0.0807 0.0774 1
Nb1 Nb 0.0000 0.4110 0.2500 1
N1 N 0.0000 0.0984 0.2500 1
N2 N 0.1573 0.4299 0.0742 1
```

Main lines, in order of rising 2θ (2θ from 10° to 90°):
hkl	Position (°2θ)	d (Å)	Rel. int.
1 1 0	17.72	5.006	100
2 0 0	20.99	4.232	50
1 1 1	28.26	3.158	81
0 2 0	28.76	3.104	35
3 1 0	34.91	2.570	80
2 2 -1	35.32	2.541	53
4 0 -2	40.80	2.212	54
2 0 2	49.71	1.834	29
1 3 1	50.66	1.802	66
3 3 -3	66.98	1.397	42

# 8
Mg2NbN3: simulated X-ray powder pattern (CuKα), based on a structure optimized by DFT (GGA-PBE).
Lines closer than 0.1° are merged.

Structural model:
```
data_Mg2NbN3
_chemical_formula_sum 'Mg8 Nb4 N12'
_space_group_name_H-M_alt 'C 1 2/m 1'
_space_group_IT_number 12
_cell_length_a 5.4039
_cell_length_b 9.3457
_cell_length_c 5.3973
_cell_angle_alpha 90.00
_cell_angle_beta 109.65
_cell_angle_gamma 90.00
loop_
_space_group_symop_operation_xyz
'x,y,z'
'-x,-y,-z'
'-x,y,-z'
'x,-y,z'
'x+1/2,y+1/2,z'
'-x+1/2,-y+1/2,-z'
'-x+1/2,y+1/2,-z'
'x+1/2,-y+1/2,z'
loop_
_atom_site_label
_atom_site_type_symbol
_atom_site_fract_x
_atom_site_fract_y
_atom_site_fract_z
_atom_site_occupancy
Mg1 Mg 0.0000 0.0000 0.0000 1
Mg2 Mg 0.0000 0.1631 0.5000 1
Mg3 Mg 0.0000 0.5000 0.5000 1
Nb1 Nb 0.0000 0.3319 0.0000 1
N1 N 0.2338 0.5000 0.2400 1
N2 N 0.2484 0.3268 0.7651 1
```

Main lines, in order of rising 2θ (2θ from 10° to 90°):
hkl	Position (°2θ)	d (Å)	Rel. int.
0 0 1	17.45	5.083	70
1 1 0	19.86	4.469	24
1 1 -1	22.27	3.992	19
1 3 0	33.71	2.659	35
0 0 2	35.28	2.544	100
2 0 -2	40.89	2.207	49
1 3 1	41.00	2.201	98
3 3 -1	59.30	1.558	74
3 3 1	70.97	1.328	22
4 0 0	74.58	1.273	21

# 9
MgNb2N2O2: simulated X-ray powder pattern (CuKα), based on a structure optimized by DFT (GGA-PBE).
Lines closer than 0.1° are merged.

Structural model:
```
data_MgNb2N2O2
_chemical_formula_sum 'Mg2 Nb4 N4 O4'
_space_group_name_H-M_alt 'C 1 m 1'
_space_group_IT_number 8
_cell_length_a 10.1595
_cell_length_b 4.3348
_cell_length_c 4.1048
_cell_angle_alpha 90.00
_cell_angle_beta 112.75
_cell_angle_gamma 90.00
loop_
_space_group_symop_operation_xyz
'x,y,z'
'x,-y,z'
'x+1/2,y+1/2,z'
'x+1/2,-y+1/2,z'
loop_
_atom_site_label
_atom_site_type_symbol
_atom_site_fract_x
_atom_site_fract_y
_atom_site_fract_z
_atom_site_occupancy
Mg1 Mg 0.0000 0.0000 0.0000 1
Nb1 Nb 0.0566 0.5000 0.5518 1
Nb2 Nb 0.2705 0.0000 0.7386 1
N1 N 0.0512 0.0000 0.5473 1
N2 N 0.3209 0.0000 0.3346 1
O1 O 0.0295 0.5000 0.0269 1
O2 O 0.2837 0.5000 0.8008 1
```

Main lines, in order of rising 2θ (2θ from 10° to 90°):
hkl	Position (°2θ)	d (Å)	Rel. int.
1 1 0	22.60	3.934	69
0 0 1	23.50	3.785	68
2 0 -1	23.83	3.734	54
3 1 0	35.45	2.532	100
3 1 -1	35.93	2.499	46
4 0 0	38.43	2.342	48
0 2 0	41.67	2.167	49
2 0 -2	44.13	2.052	39
4 2 0	57.97	1.591	26
2 2 -2	62.31	1.490	26

# 10
Mg5NiN4: simulated X-ray powder pattern (CuKα), based on a structure optimized by DFT (GGA-PBE).
Lines closer than 0.1° are merged.

Structural model:
```
data_Mg5NiN4
_chemical_formula_sum 'Mg10 Ni2 N8'
_space_group_name_H-M_alt 'P m m n'
_space_group_IT_number 59
_cell_length_a 6.4294
_cell_length_b 7.9003
_cell_length_c 5.4609
_cell_angle_alpha 90.00
_cell_angle_beta 90.00
_cell_angle_gamma 90.00
loop_
_space_group_symop_operation_xyz
'x,y,z'
'-x,-y,-z'
'-x+1/2,-y+1/2,z'
'x+1/2,y+1/2,-z'
'x+1/2,-y,-z'
'-x+1/2,y,z'
'-x,y+1/2,-z'
'x,-y+1/2,z'
loop_
_atom_site_label
_atom_site_type_symbol
_atom_site_fract_x
_atom_site_fract_y
_atom_site_fract_z
_atom_site_occupancy
Mg1 Mg 0.0119 0.0584 0.2232 1
Mg2 Mg 0.2500 0.2500 0.7556 1
Ni1 Ni 0.2500 0.7500 0.4380 1
N1 N 0.0147 0.2500 0.4900 1
N2 N 0.2500 0.0316 0.9642 1
```

Main lines, in order of rising 2θ (2θ from 10° to 90°):
hkl	Position (°2θ)	d (Å)	Rel. int.
1 1 1	24.17	3.682	74
0 2 1	27.88	3.201	100
2 1 1	34.30	2.614	57
2 2 0	36.02	2.493	41
1 1 2	37.56	2.395	25
0 3 1	37.93	2.372	49
0 2 2	40.15	2.246	21
2 0 2	43.49	2.081	24
2 2 2	49.51	1.841	21
4 0 0	57.32	1.607	21

# 11
Mg2NiN2: simulated X-ray powder pattern (CuKα), based on a structure optimized by DFT (GGA-PBE).
Lines closer than 0.1° are merged.

Structural model:
```
data_Mg2NiN2
_chemical_formula_sum 'Mg8 Ni4 N8'
_space_group_name_H-M_alt 'C 1 2/m 1'
_space_group_IT_number 12
_cell_length_a 10.2463
_cell_length_b 4.2180
_cell_length_c 6.4715
_cell_angle_alpha 90.00
_cell_angle_beta 120.38
_cell_angle_gamma 90.00
loop_
_space_group_symop_operation_xyz
'x,y,z'
'-x,-y,-z'
'-x,y,-z'
'x,-y,z'
'x+1/2,y+1/2,z'
'-x+1/2,-y+1/2,-z'
'-x+1/2,y+1/2,-z'
'x+1/2,-y+1/2,z'
loop_
_atom_site_label
_atom_site_type_symbol
_atom_site_fract_x
_atom_site_fract_y
_atom_site_fract_z
_atom_site_occupancy
Mg1 Mg 0.0364 0.0000 0.2464 1
Mg2 Mg 0.1768 0.5000 0.0771 1
Ni1 Ni 0.1270 0.5000 0.6227 1
N1 N 0.0293 0.5000 0.2967 1
N2 N 0.1799 0.0000 0.1010 1
```

Main lines, in order of rising 2θ (2θ from 10° to 90°):
hkl	Position (°2θ)	d (Å)	Rel. int.
2 0 -1	18.24	4.863	34
1 1 0	23.37	3.807	46
1 1 -1	25.28	3.522	100
1 1 -2	35.50	2.529	50
4 0 -2	36.97	2.431	21
3 1 0	37.22	2.416	39
0 2 0	42.88	2.109	55
4 0 -3	45.11	2.010	22
2 0 2	46.43	1.956	38
2 2 2	65.04	1.434	25

# 12
Sr2MgTi6N2O11: simulated X-ray powder pattern (CuKα), based on a structure optimized by DFT (GGA-PBE).
Lines closer than 0.1° are merged.

Structural model:
```
data_Sr2MgTi6N2O11
_chemical_formula_sum 'Sr2 Mg1 Ti6 N2 O11'
_space_group_name_H-M_alt 'P 1'
_space_group_IT_number 1
_cell_length_a 3.9169
_cell_length_b 7.7614
_cell_length_c 9.9838
_cell_angle_alpha 106.16
_cell_angle_beta 90.06
_cell_angle_gamma 97.30
loop_
_space_group_symop_operation_xyz
'x,y,z'
loop_
_atom_site_label
_atom_site_type_symbol
_atom_site_fract_x
_atom_site_fract_y
_atom_site_fract_z
_atom_site_occupancy
Sr1 Sr 0.0000 0.0000 0.0000 1
Sr2 Sr 0.3218 0.2361 0.3630 1
Mg1 Mg 0.8901 0.0220 0.5954 1
Ti1 Ti 0.3144 0.5711 0.9924 1
Ti2 Ti 0.3282 0.8058 0.3293 1
Ti3 Ti 0.4515 0.7917 0.7276 1
Ti4 Ti 0.7340 0.3183 0.8367 1
Ti5 Ti 0.7761 0.4804 0.1917 1
Ti6 Ti 0.8875 0.5279 0.5789 1
N1 N 0.4058 0.7546 0.8972 1
N2 N 0.8019 0.5305 0.0056 1
O1 O 0.2411 0.3218 0.8699 1
O2 O 0.2916 0.5443 0.2018 1
O3 O 0.3271 0.9235 0.2029 1
O4 O 0.3734 0.9952 0.4989 1
O5 O 0.3886 0.5524 0.5754 1
O6 O 0.6425 0.0559 0.7898 1
O7 O 0.6526 0.2383 0.1269 1
O8 O 0.8240 0.7557 0.3421 1
O9 O 0.8249 0.3212 0.6486 1
O10 O 0.8545 0.4196 0.3860 1
O11 O 0.9538 0.7929 0.6684 1
```

Main lines, in order of rising 2θ (2θ from 10° to 90°):
hkl	Position (°2θ)	d (Å)	Rel. int.
0 2 -2	25.99	3.428	100
0 1 -3	27.10	3.290	89
1 1 -1	27.46	3.248	43
1 0 2	30.18	2.961	71
1 1 -2	30.69	2.913	41
1 -2 0	31.13	2.873	49
0 2 2	34.57	2.595	76
1 0 -3	35.71	2.515	53
2 0 0	46.81	1.941	61
2 -1 1	47.44	1.916	67